1.
Diffraction record for SiH3Cl2. The powder X-ray diffraction pattern is theoretical, not measured: it uses DFT lattice parameters and positions (GGA-PBE) and Cu Kα (weighted mean of Kα1 and Kα2).
Lines closer than 0.1° are merged.

Crystal structure
```
12
Lattice="5.8459 -3.6324 0.0000 5.8459 3.6324 0.0000 -0.4055 0.0000 4.8033" Properties=species:S:1:pos:R:3 pbc="T T T"
Si 5.5418 3.3100 3.6025
Si 5.7445 -3.3100 1.2008
H 1.1017 0.0010 0.0928
H 0.8990 -0.0010 2.4945
H 5.5418 1.8268 3.6025
H 5.7445 -1.8268 1.2008
H 10.3873 0.0010 2.3089
H 10.1846 -0.0010 4.7105
Cl 3.6361 0.2096 1.5449
Cl 3.4334 -0.2096 3.9466
Cl 7.8529 0.2096 0.8568
Cl 7.6502 -0.2096 3.2584
```

Peak list (10 most intense, 2θ from 10° to 80°, by angle)
2θ 24.5, rel. 56; 2θ 26.0, rel. 100; 2θ 30.9, rel. 12; 2θ 37.4, rel. 10; 2θ 39.7, rel. 10; 2θ 44.1, rel. 14; 2θ 45.3, rel. 8; 2θ 46.9, rel. 8; 2θ 47.8, rel. 12; 2θ 53.5, rel. 8

2.
Diffraction record for CsCe2InS5. The powder X-ray diffraction pattern is theoretical, not measured: it uses DFT lattice parameters and positions (GGA-PBE) and Cu Kα (weighted mean of Kα1 and Kα2).
Lines closer than 0.1° are merged.

Crystal structure
```
18
Lattice="-4.0130 4.0130 7.3069 4.0130 -4.0130 7.3069 4.0130 4.0130 -7.3069" Properties=species:S:1:pos:R:3 pbc="T T T"
Cs 0.0000 0.0000 3.6535
Cs 0.0000 0.0000 10.9604
Ce 5.3082 1.2952 0.0000
Ce 1.2952 2.7179 0.0000
Ce 2.7179 1.2952 7.3069
Ce -1.2952 2.7179 7.3069
In 4.0130 0.0000 3.6535
In 0.0000 4.0130 3.6535
S 0.0000 0.0000 0.0000
S 2.8579 1.1552 -1.7682
S 2.8579 -1.1552 5.5388
S 2.8579 1.1552 1.7682
S 2.8579 -1.1552 9.0751
S 0.0000 0.0000 7.3069
S 1.1552 5.1682 -1.7682
S 1.1552 2.8579 5.5388
S 1.1552 5.1682 1.7682
S 1.1552 2.8579 9.0751
```

Peak list (10 most intense, 2θ from 10° to 80°, by angle)
2θ 24.4, rel. 43; 2θ 25.3, rel. 100; 2θ 25.6, rel. 31; 2θ 30.9, rel. 82; 2θ 31.5, rel. 29; 2θ 35.4, rel. 26; 2θ 39.8, rel. 45; 2θ 40.2, rel. 28; 2θ 43.5, rel. 29; 2θ 47.0, rel. 25

3.
Diffraction record for PmY5Er12. The powder X-ray diffraction pattern is theoretical, not measured: it uses DFT lattice parameters and positions (GGA-PBE) and Cu Kα (weighted mean of Kα1 and Kα2).
Lines closer than 0.1° are merged.

Crystal structure
```
18
Lattice="7.4852 -7.5064 0.0000 7.4852 7.5064 0.0000 0.0000 0.0000 4.9942" Properties=species:S:1:pos:R:3 pbc="T T T"
Pm 0.0000 0.0000 0.0000
Y 7.4852 4.9970 2.4971
Y 7.4852 2.4981 0.0000
Y 7.4852 0.0000 2.4971
Y 7.4852 -2.4981 0.0000
Y 7.4852 -4.9970 2.4971
Er 2.5188 2.5072 0.0000
Er 4.9732 2.4985 2.4971
Er 2.5198 0.0000 2.4971
Er 4.9728 0.0000 0.0000
Er 2.5188 -2.5072 0.0000
Er 4.9732 -2.4985 2.4971
Er 9.9971 2.4985 2.4971
Er 12.4515 2.5072 0.0000
Er 9.9976 0.0000 0.0000
Er 12.4506 0.0000 2.4971
Er 9.9971 -2.4985 2.4971
Er 12.4515 -2.5072 0.0000
```

Peak list (10 most intense, 2θ from 10° to 80°, by angle)
2θ 11.8, rel. 6; 2θ 25.9, rel. 3; 2θ 31.0, rel. 100; 2θ 35.9, rel. 34; 2θ 36.0, rel. 17; 2θ 51.8, rel. 36; 2θ 61.5, rel. 28; 2θ 61.6, rel. 14; 2θ 64.6, rel. 12; 2θ 76.3, rel. 4

4.
Diffraction record for VCrPt. The powder X-ray diffraction pattern is theoretical, not measured: it uses DFT lattice parameters and positions (GGA-PBE) and Cu Kα (weighted mean of Kα1 and Kα2).
Lines closer than 0.1° are merged.

Crystal structure
```
6
Lattice="4.4666 0.0000 0.0000 0.0000 2.7863 0.0000 -0.8884 0.0000 6.5117" Properties=species:S:1:pos:R:3 pbc="T T T"
V 0.6558 0.0000 1.8246
V 2.9224 0.0000 4.6871
Cr 0.0000 1.3932 0.0000
Cr 2.2333 0.0000 0.0000
Pt 0.6929 1.3932 4.1939
Pt 2.8853 1.3932 2.3178
```

Peak list (10 most intense, 2θ from 10° to 80°, by angle)
2θ 13.6, rel. 36; 2θ 25.8, rel. 24; 2θ 31.8, rel. 24; 2θ 32.1, rel. 19; 2θ 35.0, rel. 18; 2θ 36.4, rel. 19; 2θ 41.3, rel. 32; 2θ 41.6, rel. 100; 2θ 45.9, rel. 53; 2θ 66.5, rel. 16

5.
Diffraction record for Pr8Y3Tm. The powder X-ray diffraction pattern is theoretical, not measured: it uses DFT lattice parameters and positions (GGA-PBE) and Cu Kα (weighted mean of Kα1 and Kα2).
Lines closer than 0.1° are merged.

Crystal structure
```
12
Lattice="-4.4280 4.4280 5.8583 4.4280 -4.4280 5.8583 4.4280 4.4280 -5.8583" Properties=species:S:1:pos:R:3 pbc="T T T"
Pr 3.3245 3.3245 -2.9004
Pr 2.1897 -2.1897 5.7899
Pr 2.2383 2.2383 0.0684
Pr 1.1035 1.1035 2.9579
Pr 1.1035 -1.1035 8.7587
Pr -2.1897 2.1897 5.7899
Pr 2.1897 2.1897 5.9267
Pr -1.1035 1.1035 8.7587
Y 0.0000 0.0000 0.0000
Y 4.4280 0.0000 2.9292
Y 0.0000 4.4280 2.9292
Tm 0.0000 0.0000 5.8583
```

Peak list (10 most intense, 2θ from 10° to 80°, by angle)
2θ 14.1, rel. 58; 2θ 23.7, rel. 89; 2θ 25.2, rel. 57; 2θ 28.5, rel. 87; 2θ 30.5, rel. 88; 2θ 32.2, rel. 41; 2θ 32.4, rel. 50; 2θ 35.5, rel. 100; 2θ 42.2, rel. 59; 2θ 43.7, rel. 79

6.
Diffraction record for BaNa6Hg2. The powder X-ray diffraction pattern is theoretical, not measured: it uses DFT lattice parameters and positions (GGA-PBE) and Cu Kα (weighted mean of Kα1 and Kα2).
Lines closer than 0.1° are merged.

Crystal structure
```
9
Lattice="4.8725 0.0000 0.0000 0.0000 4.8725 0.0000 0.0000 0.0000 13.0108" Properties=species:S:1:pos:R:3 pbc="T T T"
Ba 0.0000 0.0000 0.0000
Na 0.0000 0.0000 6.5054
Na 0.0000 2.4362 3.5941
Na 0.0000 2.4362 9.4167
Na 2.4362 0.0000 3.5941
Na 2.4362 0.0000 9.4167
Na 2.4362 2.4362 6.5054
Hg 2.4362 2.4362 1.5402
Hg 2.4362 2.4362 11.4706
```

Peak list (10 most intense, 2θ from 10° to 80°, by angle)
2θ 18.2, rel. 46; 2θ 25.9, rel. 68; 2θ 26.8, rel. 83; 2θ 27.5, rel. 71; 2θ 29.3, rel. 41; 2θ 33.1, rel. 100; 2θ 36.9, rel. 54; 2θ 39.3, rel. 43; 2θ 46.6, rel. 37; 2θ 50.4, rel. 53

Copy entry 5 word for word.
Diffraction record for Pr8Y3Tm. The powder X-ray diffraction pattern is theoretical, not measured: it uses DFT lattice parameters and positions (GGA-PBE) and Cu Kα (weighted mean of Kα1 and Kα2).
Lines closer than 0.1° are merged.

Crystal structure
```
12
Lattice="-4.4280 4.4280 5.8583 4.4280 -4.4280 5.8583 4.4280 4.4280 -5.8583" Properties=species:S:1:pos:R:3 pbc="T T T"
Pr 3.3245 3.3245 -2.9004
Pr 2.1897 -2.1897 5.7899
Pr 2.2383 2.2383 0.0684
Pr 1.1035 1.1035 2.9579
Pr 1.1035 -1.1035 8.7587
Pr -2.1897 2.1897 5.7899
Pr 2.1897 2.1897 5.9267
Pr -1.1035 1.1035 8.7587
Y 0.0000 0.0000 0.0000
Y 4.4280 0.0000 2.9292
Y 0.0000 4.4280 2.9292
Tm 0.0000 0.0000 5.8583
```

Peak list (10 most intense, 2θ from 10° to 80°, by angle)
2θ 14.1, rel. 58; 2θ 23.7, rel. 89; 2θ 25.2, rel. 57; 2θ 28.5, rel. 87; 2θ 30.5, rel. 88; 2θ 32.2, rel. 41; 2θ 32.4, rel. 50; 2θ 35.5, rel. 100; 2θ 42.2, rel. 59; 2θ 43.7, rel. 79